No. 1
Starting from a cell relaxed with PBE+U, the PXRD pattern of BaSrCaFeO6 was computed for Cu Kα, 1.54184 Å.

Structural model:
a b c (Å): 8.269 8.269 8.269
angles (deg): 90.00 90.00 90.00
Space group F-43m (No. 216)
Asymmetric unit:
Ba1 0.000 0.000 0.000 x4
Sr1 0.000 0.000 0.500 x4
Ca1 0.250 0.250 0.750 x4
Fe1 0.250 0.250 0.250 x4
O1 0.022 0.250 0.250 x24

Main lines, by intensity (10 to 80 degrees two-theta):
h k l  d/Å  I/Imax
2 2 0  2.924  100.0
4 2 2  1.688  37.7
4 0 0  2.067  36.3
4 4 0  1.462  21.1
2 2 2  2.387  20.3
6 2 0  1.308  17.5
2 0 0  4.135  8.6
1 1 1  4.774  7.7
6 2 2  1.247  6.1
4 2 0  1.849  5.6



No. 2
Starting from a cell relaxed with PBE+U, the PXRD pattern of Li8Mn5Fe3B8O24 was computed for Cu Kα, 1.54184 Å.

Structural model:
a b c (Å): 5.231 6.030 16.208
angles (deg): 82.00 89.20 89.36
Space group P1 (No. 1)
Asymmetric unit:
Li1 0.000 0.000 0.000 x1
Li2 0.000 0.500 0.497 x1
Li3 0.300 0.874 0.215 x1
Li4 0.301 0.374 0.717 x1
Li5 0.500 0.751 0.749 x1
Li6 0.501 0.252 0.246 x1
Li7 0.801 0.623 0.969 x1
Li8 0.803 0.123 0.465 x1
Mn1 0.318 0.962 0.397 x1
Mn2 0.320 0.459 0.899 x1
Mn3 0.483 0.663 0.568 x1
Mn4 0.819 0.212 0.647 x1
Mn5 0.983 0.911 0.818 x1
Fe1 0.489 0.158 0.067 x1
Fe2 0.824 0.709 0.150 x1
Fe3 0.984 0.413 0.318 x1
B1 0.320 0.153 0.559 x1
B2 0.323 0.650 0.062 x1
B3 0.479 0.474 0.403 x1
B4 0.483 0.972 0.907 x1
B5 0.818 0.902 0.309 x1
B6 0.821 0.402 0.810 x1
B7 0.982 0.226 0.155 x1
B8 0.982 0.723 0.655 x1
O1 0.060 0.173 0.545 x1
O2 0.061 0.673 0.050 x1
O3 0.241 0.702 0.670 x1
O4 0.242 0.200 0.166 x1
O5 0.334 0.104 0.955 x1
O6 0.334 0.606 0.451 x1
O7 0.356 0.360 0.346 x1
O8 0.365 0.856 0.850 x1
O9 0.436 0.271 0.616 x1
O10 0.446 0.769 0.117 x1
O11 0.468 0.514 0.015 x1
O12 0.471 0.019 0.513 x1
O13 0.559 0.925 0.296 x1
O14 0.561 0.423 0.796 x1
O15 0.739 0.451 0.415 x1
O16 0.743 0.951 0.920 x1
O17 0.830 0.857 0.701 x1
O18 0.836 0.358 0.203 x1
O19 0.857 0.113 0.098 x1
O20 0.866 0.604 0.598 x1
O21 0.937 0.018 0.366 x1
O22 0.938 0.520 0.867 x1
O23 0.965 0.767 0.262 x1
O24 0.971 0.267 0.764 x1

Main lines, by intensity (10 to 80 degrees two-theta):
h k l  d/Å  I/Imax
0 2 -2  2.679  100.0
1 0 -2  4.357  78.7
1 1 1  3.932  60.8
2 0 4  2.203  34.0
0 0 4  4.012  33.9
1 1 5  2.625  32.2
-1 1 5  2.588  28.2
2 0 0  2.615  26.0
0 1 7  2.247  25.5
0 1 3  4.292  21.4



No. 3
Starting from a cell relaxed with PBE+U, the PXRD pattern of Fe3O4F2 was computed for Cu Kα, 1.54184 Å.

Structural model:
a b c (Å): 5.605 5.637 7.082
angles (deg): 73.82 73.21 76.93
Space group P-1 (No. 2)
Asymmetric unit:
Fe1 0.000 0.000 0.000 x1
Fe2 0.000 0.000 0.500 x1
Fe3 0.334 0.315 0.176 x2
Fe4 0.368 0.303 0.664 x2
O1 0.107 0.092 0.707 x2
O2 0.236 0.220 0.963 x2
O3 0.342 0.978 0.340 x2
O4 0.436 0.435 0.368 x2
F1 0.031 0.632 0.668 x2
F2 0.305 0.683 0.004 x2

Main lines, by intensity (10 to 80 degrees two-theta):
h k l  d/Å  I/Imax
1 -1 0  3.496  100.0
1 1 2  3.199  91.4
0 1 -2  2.557  48.6
2 1 0  2.539  46.5
0 3 0  1.783  30.6
3 0 0  1.766  29.5
3 2 2  1.689  25.0
-1 2 4  1.392  19.0
0 2 2  2.360  17.9
2 -2 0  1.748  15.7



No. 4
Starting from a cell relaxed with PBE+U, the PXRD pattern of LiMn2P2O9 was computed for Cu Kα, 1.54184 Å.

Structural model:
a b c (Å): 13.900 6.301 7.531
angles (deg): 90.00 90.00 90.00
Space group Pnma (No. 62)
Asymmetric unit:
Li1 0.221 0.250 0.061 x4
Mn1 0.000 0.000 0.000 x4
Mn2 0.122 0.250 0.647 x4
P1 0.067 0.750 0.634 x4
P2 0.193 0.750 0.106 x4
O1 0.003 0.250 0.522 x4
O2 0.015 0.750 0.815 x4
O3 0.052 0.250 0.870 x4
O4 0.132 0.545 0.095 x8
O5 0.137 0.559 0.626 x8
O6 0.225 0.250 0.464 x4
O7 0.244 0.250 0.780 x4

Main lines, by intensity (10 to 80 degrees two-theta):
h k l  d/Å  I/Imax
1 0 2  3.635  100.0
2 0 1  5.108  78.0
1 2 1  2.845  74.5
2 0 0  6.950  59.0
1 1 1  4.565  53.2
0 2 0  3.152  49.0
2 1 1  3.968  36.7
0 1 1  4.833  36.6
3 0 2  2.923  33.7
5 2 3  1.604  29.2



No. 5
Starting from a cell relaxed with PBE+U, the PXRD pattern of SrLaMnO4 was computed for Cu Kα, 1.54184 Å.

Structural model:
a b c (Å): 5.501 12.816 5.522
angles (deg): 90.00 90.00 90.00
Space group Cmcm (No. 63)
Asymmetric unit:
Sr1 0.000 0.105 0.250 x4
La1 0.000 0.390 0.250 x4
Mn1 0.000 0.247 0.750 x4
O1 0.000 0.085 0.750 x4
O2 0.000 0.428 0.750 x4
O3 0.250 0.250 0.000 x8

Main lines, by intensity (10 to 80 degrees two-theta):
h k l  d/Å  I/Imax
1 3 1  2.879  100.0
2 0 2  1.949  37.2
0 0 2  2.761  35.4
2 0 0  2.750  35.0
1 3 3  1.616  19.1
3 3 1  1.612  18.0
1 1 1  3.729  17.4
2 6 2  1.440  17.1
1 5 1  2.141  15.0
0 4 2  2.092  14.8